# 1
Starting from DFT lattice parameters and positions (GGA-PBE), the powder diffractogram of TmTlCuSe3 was computed for Cu Kα (weighted mean of Kα1 and Kα2).

Structure:
```
data_TmTlCuSe3
_cell_length_a 8.1381
_cell_length_b 8.1381
_cell_length_c 8.4740
_cell_angle_alpha 100.12
_cell_angle_beta 100.12
_cell_angle_gamma 34.54
_symmetry_space_group_name_H-M 'P 1'
_symmetry_Int_Tables_number 1
_symmetry_space_group_name_Hall 'P 1'
loop_
_atom_site_label
_atom_site_type_symbol
_atom_site_fract_x
_atom_site_fract_y
_atom_site_fract_z
Tm1 Tm 0.1432 0.1432 0.0506
Tm2 Tm 0.8568 0.8568 0.9494
Tl1 Tl 0.1532 0.1532 0.5497
Tl2 Tl 0.8468 0.8468 0.4503
Cu1 Cu 0.4838 0.4838 0.1970
Cu2 Cu 0.5162 0.5162 0.8030
Se1 Se 0.0037 0.0037 0.7823
Se2 Se 0.3255 0.3255 0.1640
Se3 Se 0.3596 0.3596 0.7536
Se4 Se 0.6404 0.6404 0.2464
Se5 Se 0.6745 0.6745 0.8360
Se6 Se 0.9963 0.9963 0.2177
```

Top 10 peaks for 5° ≤ 2θ ≤ 70°, by angle:
2theta  d [Å]  I/Imax
23.3  3.819  25
26.2  3.403  28
28.1  3.178  100
28.7  3.115  28
31.2  2.867  40
35.2  2.546  37
35.5  2.529  58
37.2  2.416  51
47.2  1.924  33
52.2  1.753  24

=====

# 2
Starting from DFT lattice parameters and positions (GGA-PBE), the powder diffractogram of U2Tl2CuSe6 was computed for Cu Kα (weighted mean of Kα1 and Kα2).

Structure:
```
data_U2Tl2CuSe6
_cell_length_a 7.3199
_cell_length_b 7.3199
_cell_length_c 8.1160
_cell_angle_alpha 97.10
_cell_angle_beta 97.10
_cell_angle_gamma 124.47
_symmetry_space_group_name_H-M 'P 1'
_symmetry_Int_Tables_number 1
_symmetry_space_group_name_Hall 'P 1'
loop_
_atom_site_label
_atom_site_type_symbol
_atom_site_fract_x
_atom_site_fract_y
_atom_site_fract_z
U1 U 0.1625 0.8375 0.0000
U2 U 0.8375 0.1625 0.0000
Tl1 Tl 0.3462 0.6538 0.5000
Tl2 Tl 0.6538 0.3462 0.5000
Cu1 Cu 0.5000 0.5000 0.0000
Se1 Se 0.0679 0.4444 0.7904
Se2 Se 0.2579 0.2579 0.1689
Se3 Se 0.4444 0.0679 0.7904
Se4 Se 0.5556 0.9321 0.2096
Se5 Se 0.7421 0.7421 0.8311
Se6 Se 0.9321 0.5556 0.2096
```

Top 10 peaks for 5° ≤ 2θ ≤ 70°, by angle:
2theta  d [Å]  I/Imax
11.3  7.825  20
13.7  6.477  19
16.6  5.337  34
25.6  3.476  17
28.7  3.110  100
30.5  2.929  42
39.6  2.277  31
40.2  2.241  24
41.8  2.159  16
45.1  2.011  29

=====

# 3
Starting from DFT lattice parameters and positions (GGA-PBE), the powder diffractogram of U3Tl3CuSe8 was computed for Cu Kα (weighted mean of Kα1 and Kα2).

Structure:
```
data_U3Tl3CuSe8
_cell_length_a 8.1065
_cell_length_b 8.1065
_cell_length_c 9.2139
_cell_angle_alpha 116.10
_cell_angle_beta 116.10
_cell_angle_gamma 60.01
_symmetry_space_group_name_H-M 'P 1'
_symmetry_Int_Tables_number 1
_symmetry_space_group_name_Hall 'P 1'
loop_
_atom_site_label
_atom_site_type_symbol
_atom_site_fract_x
_atom_site_fract_y
_atom_site_fract_z
U1 U 0.0000 0.0000 0.0000
U2 U 0.0000 0.5000 0.0000
U3 U 0.5000 0.0000 0.0000
Tl1 Tl 0.0000 0.5000 0.5000
Tl2 Tl 0.5000 0.0000 0.5000
Tl3 Tl 0.5000 0.5000 0.5000
Cu1 Cu 0.5000 0.5000 0.0000
Se1 Se 0.2346 0.7306 0.1957
Se2 Se 0.2361 0.2361 0.2087
Se3 Se 0.2694 0.7654 0.8043
Se4 Se 0.2703 0.2703 0.8051
Se5 Se 0.7297 0.7297 0.1949
Se6 Se 0.7306 0.2346 0.1957
Se7 Se 0.7639 0.7639 0.7913
Se8 Se 0.7654 0.2694 0.8043
```

Top 10 peaks for 5° ≤ 2θ ≤ 70°, by angle:
2theta  d [Å]  I/Imax
11.1  7.936  11
14.6  6.047  17
22.4  3.968  12
26.5  3.367  18
29.5  3.024  100
39.7  2.270  38
44.7  2.027  34
54.5  1.683  18
61.3  1.512  11
65.9  1.418  14

=====

# 4
Starting from DFT lattice parameters and positions (GGA-PBE), the powder diffractogram of U3Tl4CuSe8 was computed for Cu Kα (weighted mean of Kα1 and Kα2).

Structure:
```
data_U3Tl4CuSe8
_cell_length_a 8.2048
_cell_length_b 8.2048
_cell_length_c 9.1867
_cell_angle_alpha 116.56
_cell_angle_beta 116.56
_cell_angle_gamma 59.90
_symmetry_space_group_name_H-M 'P 1'
_symmetry_Int_Tables_number 1
_symmetry_space_group_name_Hall 'P 1'
loop_
_atom_site_label
_atom_site_type_symbol
_atom_site_fract_x
_atom_site_fract_y
_atom_site_fract_z
U1 U 0.0000 0.0000 0.0000
U2 U 0.0000 0.5000 0.0000
U3 U 0.5000 0.0000 0.0000
Tl1 Tl 0.0000 0.0000 0.5000
Tl2 Tl 0.0000 0.5000 0.5000
Tl3 Tl 0.5000 0.0000 0.5000
Tl4 Tl 0.5000 0.5000 0.5000
Cu1 Cu 0.5000 0.5000 0.0000
Se1 Se 0.2360 0.2360 0.2084
Se2 Se 0.2388 0.7294 0.1978
Se3 Se 0.2690 0.2690 0.8010
Se4 Se 0.2706 0.7612 0.8022
Se5 Se 0.7294 0.2388 0.1978
Se6 Se 0.7310 0.7310 0.1990
Se7 Se 0.7612 0.2706 0.8022
Se8 Se 0.7640 0.7640 0.7916
```

Top 10 peaks for 5° ≤ 2θ ≤ 70°, by angle:
2theta  d [Å]  I/Imax
22.6  3.934  15
26.2  3.400  24
29.4  3.043  100
39.7  2.269  39
44.2  2.051  23
44.2  2.048  11
46.2  1.966  16
50.2  1.818  11
53.9  1.700  19
65.8  1.419  17

=====

# 5
Starting from DFT lattice parameters and positions (GGA-PBE), the powder diffractogram of Tl2CuWSe was computed for Cu Kα (weighted mean of Kα1 and Kα2).

Structure:
```
data_Tl2CuWSe
_cell_length_a 5.5410
_cell_length_b 5.5410
_cell_length_c 4.7278
_cell_angle_alpha 90.00
_cell_angle_beta 90.00
_cell_angle_gamma 90.00
_symmetry_space_group_name_H-M 'P 1'
_symmetry_Int_Tables_number 1
_symmetry_space_group_name_Hall 'P 1'
loop_
_atom_site_label
_atom_site_type_symbol
_atom_site_fract_x
_atom_site_fract_y
_atom_site_fract_z
Tl1 Tl 0.0000 0.5000 0.0000
Tl2 Tl 0.5000 0.0000 0.0000
Cu1 Cu 0.0000 0.0000 0.5000
W1 W 0.5000 0.5000 0.0000
Se1 Se 0.5000 0.5000 0.5000
```

Top 10 peaks for 5° ≤ 2θ ≤ 70°, by angle:
2theta  d [Å]  I/Imax
16.0  5.541  38
18.8  4.728  65
24.8  3.597  21
29.6  3.017  64
32.3  2.770  100
37.6  2.390  47
38.1  2.364  32
46.3  1.959  37
50.8  1.798  57
61.5  1.508  32

=====

# 6
Starting from DFT lattice parameters and positions (GGA-PBE), the powder diffractogram of Y3Tl3CuSe8 was computed for Cu Kα (weighted mean of Kα1 and Kα2).

Structure:
```
data_Y3Tl3CuSe8
_cell_length_a 8.1973
_cell_length_b 8.1973
_cell_length_c 9.0593
_cell_angle_alpha 116.91
_cell_angle_beta 116.91
_cell_angle_gamma 60.00
_symmetry_space_group_name_H-M 'P 1'
_symmetry_Int_Tables_number 1
_symmetry_space_group_name_Hall 'P 1'
loop_
_atom_site_label
_atom_site_type_symbol
_atom_site_fract_x
_atom_site_fract_y
_atom_site_fract_z
Y1 Y 0.0000 0.0000 0.0000
Y2 Y 0.0000 0.5000 0.0000
Y3 Y 0.5000 0.0000 0.0000
Tl1 Tl 0.0000 0.5000 0.5000
Tl2 Tl 0.5000 0.0000 0.5000
Tl3 Tl 0.5000 0.5000 0.5000
Cu1 Cu 0.5000 0.5000 0.0000
Se1 Se 0.2366 0.2366 0.2093
Se2 Se 0.2550 0.7183 0.1928
Se3 Se 0.2817 0.7450 0.8072
Se4 Se 0.2830 0.2830 0.8092
Se5 Se 0.7170 0.7170 0.1908
Se6 Se 0.7183 0.2550 0.1928
Se7 Se 0.7450 0.2817 0.8072
Se8 Se 0.7634 0.7634 0.7907
```

Top 10 peaks for 5° ≤ 2θ ≤ 70°, by angle:
2theta  d [Å]  I/Imax
13.0  6.788  16
14.6  6.053  10
29.5  3.027  100
31.8  2.816  17
40.2  2.244  34
44.2  2.049  35
54.0  1.697  17
57.5  1.603  8
61.3  1.513  9
66.5  1.405  10

=====

# 7
Starting from DFT lattice parameters and positions (GGA-PBE), the powder diffractogram of TlZnCu3Se4 was computed for Cu Kα (weighted mean of Kα1 and Kα2).

Structure:
```
data_TlZnCu3Se4
_cell_length_a 5.9249
_cell_length_b 5.9249
_cell_length_c 5.9249
_cell_angle_alpha 90.00
_cell_angle_beta 90.00
_cell_angle_gamma 90.00
_symmetry_space_group_name_H-M 'P 1'
_symmetry_Int_Tables_number 1
_symmetry_space_group_name_Hall 'P 1'
loop_
_atom_site_label
_atom_site_type_symbol
_atom_site_fract_x
_atom_site_fract_y
_atom_site_fract_z
Tl1 Tl 0.0000 0.0000 0.0000
Zn1 Zn 0.5000 0.5000 0.5000
Cu1 Cu 0.0000 0.0000 0.5000
Cu2 Cu 0.0000 0.5000 0.0000
Cu3 Cu 0.5000 0.0000 0.0000
Se1 Se 0.2627 0.2627 0.2627
Se2 Se 0.2627 0.7373 0.7373
Se3 Se 0.7373 0.2627 0.7373
Se4 Se 0.7373 0.7373 0.2627
```

Top 10 peaks for 5° ≤ 2θ ≤ 70°, by angle:
2theta  d [Å]  I/Imax
15.0  5.925  33
21.2  4.190  42
26.0  3.421  45
33.8  2.650  31
37.2  2.419  21
43.2  2.095  100
46.0  1.975  13
51.1  1.786  19
58.3  1.584  12
62.7  1.481  16

=====

# 8
Starting from DFT lattice parameters and positions (GGA-PBE), the powder diffractogram of ZrTlCuSe4 was computed for Cu Kα (weighted mean of Kα1 and Kα2).

Structure:
```
data_ZrTlCuSe4
_cell_length_a 6.9231
_cell_length_b 5.4679
_cell_length_c 9.6828
_cell_angle_alpha 90.00
_cell_angle_beta 108.48
_cell_angle_gamma 90.00
_symmetry_space_group_name_H-M 'P 1'
_symmetry_Int_Tables_number 1
_symmetry_space_group_name_Hall 'P 1'
loop_
_atom_site_label
_atom_site_type_symbol
_atom_site_fract_x
_atom_site_fract_y
_atom_site_fract_z
Zr1 Zr 0.2268 0.2500 0.4413
Zr2 Zr 0.7732 0.7500 0.5587
Tl1 Tl 0.2525 0.2500 0.9557
Tl2 Tl 0.7475 0.7500 0.0443
Cu1 Cu 0.2227 0.7500 0.6700
Cu2 Cu 0.7773 0.2500 0.3300
Se1 Se 0.0352 0.7500 0.8352
Se2 Se 0.0604 0.7500 0.4114
Se3 Se 0.4815 0.5103 0.3123
Se4 Se 0.4815 0.9897 0.3123
Se5 Se 0.5185 0.0103 0.6877
Se6 Se 0.5185 0.4897 0.6877
Se7 Se 0.9396 0.2500 0.5886
Se8 Se 0.9648 0.2500 0.1648
```

Top 10 peaks for 5° ≤ 2θ ≤ 70°, by angle:
2theta  d [Å]  I/Imax
21.1  4.202  55
25.0  3.557  52
25.7  3.465  49
28.0  3.191  91
31.6  2.827  100
32.5  2.756  72
32.8  2.734  40
35.6  2.524  53
42.0  2.153  40
43.1  2.101  86

=====

# 9
Starting from DFT lattice parameters and positions (GGA-PBE), the powder diffractogram of Tm3CuSe2 was computed for Cu Kα (weighted mean of Kα1 and Kα2).

Structure:
```
data_Tm3CuSe2
_cell_length_a 6.8703
_cell_length_b 6.8703
_cell_length_c 7.1368
_cell_angle_alpha 99.25
_cell_angle_beta 99.25
_cell_angle_gamma 120.23
_symmetry_space_group_name_H-M 'P 1'
_symmetry_Int_Tables_number 1
_symmetry_space_group_name_Hall 'P 1'
loop_
_atom_site_label
_atom_site_type_symbol
_atom_site_fract_x
_atom_site_fract_y
_atom_site_fract_z
Tm1 Tm 0.0772 0.4191 0.7597
Tm2 Tm 0.2368 0.2368 0.2384
Tm3 Tm 0.4191 0.0772 0.7597
Tm4 Tm 0.5809 0.9228 0.2403
Tm5 Tm 0.7632 0.7632 0.7616
Tm6 Tm 0.9228 0.5809 0.2403
Cu1 Cu 0.1684 0.8316 0.0000
Cu2 Cu 0.8316 0.1684 0.0000
Se1 Se 0.0000 0.0000 0.5000
Se2 Se 0.3396 0.6604 0.5000
Se3 Se 0.5000 0.5000 0.0000
Se4 Se 0.6604 0.3396 0.5000
```

Top 10 peaks for 5° ≤ 2θ ≤ 70°, by angle:
2theta  d [Å]  I/Imax
26.4  3.378  7
27.4  3.255  13
31.5  2.841  100
44.4  2.040  25
44.6  2.033  13
45.7  1.986  12
45.9  1.979  23
54.3  1.689  8
56.6  1.627  12
65.7  1.420  12

=====

# 10
Starting from DFT lattice parameters and positions (GGA-PBE), the powder diffractogram of UCuSe3 was computed for Cu Kα (weighted mean of Kα1 and Kα2).

Structure:
```
data_UCuSe3
_cell_length_a 6.8517
_cell_length_b 6.8517
_cell_length_c 9.0853
_cell_angle_alpha 90.00
_cell_angle_beta 90.00
_cell_angle_gamma 147.22
_symmetry_space_group_name_H-M 'P 1'
_symmetry_Int_Tables_number 1
_symmetry_space_group_name_Hall 'P 1'
loop_
_atom_site_label
_atom_site_type_symbol
_atom_site_fract_x
_atom_site_fract_y
_atom_site_fract_z
U1 U 0.2409 0.7591 0.7500
U2 U 0.7591 0.2409 0.2500
Cu1 Cu 0.0213 0.9787 0.2500
Cu2 Cu 0.9787 0.0213 0.7500
Se1 Se 0.1570 0.8430 0.0685
Se2 Se 0.1570 0.8430 0.4315
Se3 Se 0.4137 0.5863 0.2500
Se4 Se 0.5863 0.4137 0.7500
Se5 Se 0.8430 0.1570 0.5685
Se6 Se 0.8430 0.1570 0.9315
```

Top 10 peaks for 5° ≤ 2θ ≤ 70°, by angle:
2theta  d [Å]  I/Imax
13.5  6.573  55
19.5  4.543  54
25.9  3.434  21
32.4  2.762  100
32.6  2.751  20
33.7  2.663  37
38.4  2.346  50
43.2  2.094  36
46.0  1.974  19
47.0  1.933  22

=====

# 11
Starting from DFT lattice parameters and positions (GGA-PBE), the powder diffractogram of U2Cu4Se5 was computed for Cu Kα (weighted mean of Kα1 and Kα2).

Structure:
```
data_U2Cu4Se5
_cell_length_a 16.9462
_cell_length_b 16.9462
_cell_length_c 16.9462
_cell_angle_alpha 13.48
_cell_angle_beta 13.48
_cell_angle_gamma 13.48
_symmetry_space_group_name_H-M 'P 1'
_symmetry_Int_Tables_number 1
_symmetry_space_group_name_Hall 'P 1'
loop_
_atom_site_label
_atom_site_type_symbol
_atom_site_fract_x
_atom_site_fract_y
_atom_site_fract_z
U1 U 0.1325 0.1325 0.1325
U2 U 0.8675 0.8675 0.8675
Cu1 Cu 0.3144 0.3144 0.3144
Cu2 Cu 0.4140 0.4140 0.4140
Cu3 Cu 0.5860 0.5860 0.5860
Cu4 Cu 0.6856 0.6856 0.6856
Se1 Se 0.2364 0.2364 0.2364
Se2 Se 0.3663 0.3663 0.3663
Se3 Se 0.5000 0.5000 0.5000
Se4 Se 0.6337 0.6337 0.6337
Se5 Se 0.7636 0.7636 0.7636
```

Top 10 peaks for 5° ≤ 2θ ≤ 70°, by angle:
2theta  d [Å]  I/Imax
5.3  16.790  100
26.8  3.323  40
29.6  3.022  51
32.0  2.798  15
32.5  2.753  68
38.7  2.324  25
45.6  1.989  60
47.7  1.907  33
56.8  1.621  18
57.1  1.612  14

=====

# 12
Starting from DFT lattice parameters and positions (GGA-PBE), the powder diffractogram of UCuSe4 was computed for Cu Kα (weighted mean of Kα1 and Kα2).

Structure:
```
data_UCuSe4
_cell_length_a 6.8855
_cell_length_b 6.4258
_cell_length_c 7.7717
_cell_angle_alpha 90.00
_cell_angle_beta 115.83
_cell_angle_gamma 90.00
_symmetry_space_group_name_H-M 'P 1'
_symmetry_Int_Tables_number 1
_symmetry_space_group_name_Hall 'P 1'
loop_
_atom_site_label
_atom_site_type_symbol
_atom_site_fract_x
_atom_site_fract_y
_atom_site_fract_z
U1 U 0.0000 0.0000 0.0000
U2 U 0.0000 0.5000 0.5000
Cu1 Cu 0.5000 0.0000 0.0000
Cu2 Cu 0.5000 0.5000 0.5000
Se1 Se 0.1875 0.2493 0.8427
Se2 Se 0.1875 0.2507 0.3427
Se3 Se 0.3342 0.7415 0.6403
Se4 Se 0.3342 0.7585 0.1403
Se5 Se 0.6658 0.2415 0.8597
Se6 Se 0.6658 0.2585 0.3597
Se7 Se 0.8125 0.7493 0.6573
Se8 Se 0.8125 0.7507 0.1573
```

Top 10 peaks for 5° ≤ 2θ ≤ 70°, by angle:
2theta  d [Å]  I/Imax
18.8  4.732  100
20.0  4.446  24
29.1  3.072  38
29.4  3.035  31
32.1  2.791  19
32.2  2.777  19
38.0  2.366  29
40.4  2.230  38
40.6  2.223  36
46.9  1.938  18

=====

# 13
Starting from DFT lattice parameters and positions (GGA-PBE), the powder diffractogram of V4CuSe8 was computed for Cu Kα (weighted mean of Kα1 and Kα2).

Structure:
```
data_V4CuSe8
_cell_length_a 7.2050
_cell_length_b 7.2050
_cell_length_c 7.2050
_cell_angle_alpha 60.00
_cell_angle_beta 60.00
_cell_angle_gamma 60.00
_symmetry_space_group_name_H-M 'P 1'
_symmetry_Int_Tables_number 1
_symmetry_space_group_name_Hall 'P 1'
loop_
_atom_site_label
_atom_site_type_symbol
_atom_site_fract_x
_atom_site_fract_y
_atom_site_fract_z
V1 V 0.1100 0.1100 0.1100
V2 V 0.1100 0.1100 0.6699
V3 V 0.1100 0.6699 0.1100
V4 V 0.6699 0.1100 0.1100
Cu1 Cu 0.5000 0.5000 0.5000
Se1 Se 0.3648 0.3648 0.3648
Se2 Se 0.3648 0.3648 0.9057
Se3 Se 0.3648 0.9057 0.3648
Se4 Se 0.3896 0.8701 0.8701
Se5 Se 0.8701 0.3896 0.8701
Se6 Se 0.8701 0.8701 0.3896
Se7 Se 0.8701 0.8701 0.8701
Se8 Se 0.9057 0.3648 0.3648
```

Top 10 peaks for 5° ≤ 2θ ≤ 70°, by angle:
2theta  d [Å]  I/Imax
15.1  5.883  12
29.1  3.072  25
30.4  2.941  70
35.2  2.547  100
43.5  2.080  15
46.3  1.961  16
50.7  1.801  91
60.2  1.536  31
63.2  1.471  20
69.0  1.362  8